Theoretical powder diffractogram
Compound: Y2TaWN6
Radiation: Cu Kα X-rays
Structure: a GGA-PBE-relaxed structure
Peak positions follow from Bragg's law for the DFT cell and can differ from measured ones.

Structural model:
```
Y2TaWN6
1.0
5.4693 0.0000 0.0000
0.0000 5.6836 0.0000
-5.4626 0.0000 7.8374
Y Ta W N
4 2 2 12
Direct
0.2376 0.0602 0.2506
0.2376 0.4398 0.7506
0.7624 0.5602 0.2494
0.7624 0.9398 0.7494
0.5000 0.0000 0.0000
0.5000 0.5000 0.5000
0.0000 0.0000 0.5000
0.0000 0.5000 0.0000
0.1449 0.2053 0.9481
0.1449 0.2947 0.4481
0.2461 0.6989 0.9498
0.2461 0.8011 0.4498
0.3438 0.0267 0.7466
0.3438 0.4733 0.2466
0.6562 0.5267 0.7534
0.6562 0.9733 0.2534
0.7539 0.1989 0.5502
0.7539 0.3011 0.0502
0.8551 0.7053 0.5519
0.8551 0.7947 0.0519
```

The 6 most intense peaks (10 to 80 degrees two-theta), by angle:
(1 1 -1), 2θ = 22.6°, rel. 21; (0 2 0), 2θ = 31.5°, rel. 24; (1 1 1), 2θ = 32.2°, rel. 100; (2 0 -2), 2θ = 32.7°, rel. 24; (2 2 -2), 2θ = 46.1°, rel. 21; (3 1 -5), 2θ = 58.1°, rel. 21